1.
This entry pairs a crystal structure of Nd2Tm3Mg2 with its computed powder XRD pattern. Radiation: Cu Kα, 1.54184 Å. Structure: the GGA-PBE geometry in Alexandria.

Unit cell a=3.505 b=34.364 c=3.477 alpha=90.00 beta=90.00 gamma=90.00
Space group Cmmm (No. 65)
Symmetry-distinct sites (fractional):
Nd 0.000 0.204 0.000
Tm 0.000 0.070 0.000
Tm 0.000 0.500 0.500
Mg 0.000 0.365 0.500

Principal peaks in the range 2θ from 5° to 70°, most intense first:
- d = 2.852 Å, 2θ = 31.4°, I = 100, (1 7 0)
- d = 2.462 Å, 2θ = 36.5°, I = 70, (1 1 1)
- d = 17.182 Å, 2θ = 5.1°, I = 68, (0 2 0)
- d = 2.703 Å, 2θ = 33.1°, I = 67, (0 8 1)
- d = 1.679 Å, 2θ = 54.7°, I = 40, (1 15 1)
- d = 2.972 Å, 2θ = 30.1°, I = 33, (0 6 1)
- d = 3.480 Å, 2θ = 25.6°, I = 29, (0 0 1)
- d = 1.485 Å, 2θ = 62.6°, I = 28, (1 7 2)
- d = 8.591 Å, 2θ = 10.3°, I = 27, (0 4 0)
- d = 2.455 Å, 2θ = 36.6°, I = 26, (0 14 0)

***

2.
This entry pairs a crystal structure of Nd2Tm3Mg3 with its computed powder XRD pattern. Radiation: Cu Kα, 1.54184 Å. Structure: the GGA-PBE geometry in Alexandria.

Unit cell a=5.4511 b=5.4511 c=26.8641 alpha=90.00 beta=90.00 gamma=120.00
Space group R3m (No. 160, hexagonal axes)
Symmetry-distinct sites (fractional):
Nd 0.0000 0.0000 0.0000
Nd 0.0000 0.0000 0.4971
Tm 0.0000 0.0000 0.2441
Tm 0.0000 0.0000 0.6234
Tm 0.0000 0.0000 0.7507
Mg 0.0000 0.0000 0.1231
Mg 0.0000 0.0000 0.3704
Mg 0.0000 0.0000 0.8756

Principal peaks in the range 2θ from 5° to 70°, most intense first:
- d = 2.726 Å, 2θ = 32.9°, I = 100, (1 1 0)
- d = 2.736 Å, 2θ = 32.7°, I = 100, (0 1 8)
- d = 1.575 Å, 2θ = 58.6°, I = 57, (3 0 0)
- d = 3.862 Å, 2θ = 23.0°, I = 46, (1 0 4)
- d = 1.931 Å, 2θ = 47.1°, I = 36, (2 0 8)
- d = 1.582 Å, 2θ = 58.3°, I = 18, (1 0 16)
- d = 1.363 Å, 2θ = 68.9°, I = 12, (2 2 0)
- d = 1.368 Å, 2θ = 68.6°, I = 11, (0 2 16)
- d = 2.227 Å, 2θ = 40.5°, I = 11, (0 2 4)
- d = 4.454 Å, 2θ = 19.9°, I = 11, (0 1 2)

***

3.
This entry pairs a crystal structure of Nd8Tm3Mg2 with its computed powder XRD pattern. Radiation: Cu Kα, 1.54184 Å. Structure: the GGA-PBE geometry in Alexandria.

Unit cell a=6.384 b=7.380 c=9.620 alpha=90.53 beta=91.03 gamma=109.25
Space group P-1 (No. 2)
Symmetry-distinct sites (fractional):
Nd 0.042 0.375 0.353
Nd 0.048 0.867 0.321
Nd 0.399 0.968 0.822
Nd 0.438 0.472 0.806
Tm 0.000 0.500 0.000
Tm 0.489 0.242 0.501
Mg 0.170 0.160 0.061

Principal peaks in the range 2θ from 5° to 70°, most intense first:
- d = 2.857 Å, 2θ = 31.3°, I = 100, (1 0 -3)
- d = 2.802 Å, 2θ = 31.9°, I = 80, (1 0 3)
- d = 2.870 Å, 2θ = 31.2°, I = 63, (1 -2 2)
- d = 2.673 Å, 2θ = 33.5°, I = 54, (-2 2 1)
- d = 3.013 Å, 2θ = 29.7°, I = 45, (2 0 0)
- d = 3.258 Å, 2θ = 27.4°, I = 34, (0 2 1)
- d = 2.578 Å, 2θ = 34.8°, I = 33, (1 2 -1)
- d = 1.575 Å, 2θ = 58.6°, I = 20, (2 -2 5)
- d = 1.883 Å, 2θ = 48.3°, I = 18, (3 -2 2)
- d = 3.349 Å, 2θ = 26.6°, I = 16, (1 -2 1)

***

4.
This entry pairs a crystal structure of NdTm2Mg2 with its computed powder XRD pattern. Radiation: Cu Kα, 1.54184 Å. Structure: the GGA-PBE geometry in Alexandria.

Unit cell a=3.726 b=27.853 c=5.463 alpha=90.00 beta=90.00 gamma=90.00
Space group Cmcm (No. 63)
Symmetry-distinct sites (fractional):
Nd 0.000 0.151 0.250
Tm 0.000 0.044 0.750
Tm 0.000 0.237 0.750
Mg 0.000 0.360 0.250
Mg 0.000 0.449 0.750

Principal peaks in the range 2θ from 5° to 70°, most intense first:
- d = 2.694 Å, 2θ = 33.3°, I = 100, (1 5 1)
- d = 3.538 Å, 2θ = 25.2°, I = 29, (0 6 1)
- d = 2.732 Å, 2θ = 32.8°, I = 28, (0 0 2)
- d = 2.785 Å, 2θ = 32.1°, I = 22, (0 10 0)
- d = 3.694 Å, 2θ = 24.1°, I = 20, (1 1 0)
- d = 1.570 Å, 2θ = 58.8°, I = 19, (1 5 3)
- d = 1.950 Å, 2θ = 46.6°, I = 16, (0 10 2)
- d = 4.298 Å, 2θ = 20.7°, I = 14, (0 4 1)
- d = 1.662 Å, 2θ = 55.3°, I = 13, (1 11 2)
- d = 1.590 Å, 2θ = 58.0°, I = 12, (1 15 1)